Diffraction record for MgTi2. The XRD peak list is theoretical, not measured: it uses a DFT-relaxed cell (GGA-PBE, the Materials Project) and CuKα.
No peak broadening, texture or thermal motion is included.

Most intense lines, 2θ from 10° to 80°, in order of rising 2θ:
Position (°2θ)	intensity	hkl
11.3	106	1 0 0
34.2	271	2 0 -4
34.4	111	3 0 0
38.3	375	0 2 0
39.4	1000	1 1 4
39.5	515	3 1 0
52.3	148	2 2 -4
70.0	239	3 3 0
74.5	89	1 2 -8
74.8	162	4 2 4

```
24
Lattice="7.9744 0.0000 0.0000 0.0000 4.7033 0.0000 -2.2784 0.0000 11.8950" Properties=species:S:1:pos:R:3 pbc="T T T"
Mg 0.2648 1.1758 3.1370
Mg -0.7802 1.1758 9.1105
Mg 0.8747 3.5275 4.8368
Mg 1.4797 3.5275 1.7851
Mg 4.2163 1.1758 10.1099
Mg 4.8213 1.1758 7.0582
Mg 6.4762 3.5275 2.7845
Mg 5.4312 3.5275 8.7581
Ti 0.8486 1.1758 0.1339
Ti -0.2719 1.1758 6.1536
Ti -0.1818 3.5275 10.8119
Ti 0.4318 3.5275 7.7480
Ti 1.9309 1.1758 8.0794
Ti 1.4219 1.1758 11.1216
Ti 2.6348 1.1758 5.1251
Ti 3.2416 1.1758 2.1292
Ti 2.4544 3.5275 9.7659
Ti 3.0612 3.5275 6.7699
Ti 4.2741 3.5275 0.7734
Ti 3.7651 3.5275 3.8157
Ti 5.2642 1.1758 4.1471
Ti 5.8778 1.1758 1.0831
Ti 5.9679 3.5275 5.7414
Ti 4.8474 3.5275 11.7611
```